[1]
Simulated PXRD pattern of Ga2P4C6NO14 for CuKα, from a crystal structure in the Materials Project, relaxed with PBE.

Structural model:
Lattice parameters (Å, degrees): 12.396 12.396 10.529 104.34 104.34 43.85
Positions (direct):
Ga (0.217, 0.231, 0.061)
Ga (0.231, 0.217, 0.561)
Ga (0.769, 0.783, 0.439)
Ga (0.783, 0.769, 0.939)
P (0.083, 0.423, 0.817)
P (0.126, 0.644, 0.155)
P (0.356, 0.874, 0.345)
P (0.423, 0.083, 0.317)
P (0.577, 0.917, 0.683)
P (0.644, 0.126, 0.655)
P (0.874, 0.356, 0.845)
P (0.917, 0.577, 0.183)
C (0.008, 0.329, 0.754)
C (0.199, 0.771, 0.660)
C (0.204, 0.701, 0.761)
C (0.229, 0.801, 0.840)
C (0.299, 0.796, 0.739)
C (0.329, 0.008, 0.254)
C (0.671, 0.992, 0.746)
C (0.701, 0.204, 0.261)
C (0.771, 0.199, 0.160)
C (0.796, 0.299, 0.239)
C (0.801, 0.229, 0.340)
C (0.992, 0.671, 0.246)
N (0.367, 0.633, 0.750)
N (0.633, 0.367, 0.250)
O (0.044, 0.710, 0.028)
O (0.045, 0.244, 0.650)
O (0.061, 0.400, 0.173)
O (0.069, 0.290, 0.433)
O (0.174, 0.373, 0.705)
O (0.180, 0.363, 0.950)
O (0.244, 0.045, 0.150)
O (0.277, 0.578, 0.228)
O (0.290, 0.069, 0.933)
O (0.290, 0.956, 0.472)
O (0.363, 0.180, 0.450)
O (0.373, 0.174, 0.205)
O (0.400, 0.061, 0.673)
O (0.422, 0.723, 0.272)
O (0.578, 0.277, 0.728)
O (0.600, 0.939, 0.327)
O (0.627, 0.826, 0.795)
O (0.637, 0.820, 0.550)
O (0.710, 0.044, 0.528)
O (0.710, 0.931, 0.067)
O (0.723, 0.422, 0.772)
O (0.756, 0.955, 0.850)
O (0.820, 0.637, 0.050)
O (0.826, 0.627, 0.295)
O (0.931, 0.710, 0.567)
O (0.939, 0.600, 0.827)
O (0.955, 0.756, 0.350)
O (0.956, 0.290, 0.972)

Main lines, low angle first (2θ = 5–70°):
2θ = 7.98°, intensity 100; 2θ = 12.84°, intensity 11; 2θ = 15.34°, intensity 14; 2θ = 16.00°, intensity 13; 2θ = 19.41°, intensity 8; 2θ = 20.79°, intensity 14; 2θ = 25.84°, intensity 6; 2θ = 26.06°, intensity 8; 2θ = 28.67°, intensity 7; 2θ = 33.21°, intensity 6

=====

[2]
Simulated PXRD pattern of GaSi3C3N for CuKα, from a crystal structure in the Materials Project, relaxed with PBE.

Structural model:
Lattice parameters (Å, degrees): 5.106 3.112 5.399 90.00 90.25 90.00
Positions (direct):
Ga (0.000, 0.000, 0.000)
Si (0.011, 0.500, 0.498)
Si (0.500, 0.500, 0.826)
Si (0.507, 0.000, 0.332)
C (0.138, 0.000, 0.348)
C (0.605, 0.000, 0.994)
C (0.637, 0.500, 0.499)
N (0.142, 0.500, 0.809)

Main lines, low angle first (2θ = 5–70°):
2θ = 16.42°, intensity 25; 2θ = 17.37°, intensity 25; 2θ = 33.22°, intensity 100; 2θ = 35.15°, intensity 64; 2θ = 37.68°, intensity 85; 2θ = 37.77°, intensity 76; 2θ = 49.08°, intensity 25; 2θ = 59.35°, intensity 56; 2θ = 64.68°, intensity 30; 2θ = 64.87°, intensity 29

=====

[3]
Simulated PXRD pattern of Sr4GaCN5 for CuKα, from a crystal structure in the Materials Project, relaxed with PBE.

Structural model:
Lattice parameters (Å, degrees): 13.590 7.476 7.503 90.00 98.12 90.00
Positions (direct):
Sr (0.013, 0.248, 0.494)
Sr (0.013, 0.252, 0.994)
Sr (0.181, 0.521, 0.785)
Sr (0.181, 0.979, 0.285)
Sr (0.332, 0.155, 0.667)
Sr (0.332, 0.345, 0.167)
Sr (0.353, 0.679, 0.515)
Sr (0.353, 0.821, 0.015)
Sr (0.647, 0.179, 0.985)
Sr (0.647, 0.321, 0.485)
Sr (0.668, 0.655, 0.833)
Sr (0.668, 0.845, 0.333)
Sr (0.819, 0.021, 0.715)
Sr (0.819, 0.479, 0.215)
Sr (0.987, 0.748, 0.006)
Sr (0.987, 0.752, 0.506)
Ga (0.145, 0.514, 0.291)
Ga (0.145, 0.986, 0.791)
Ga (0.855, 0.014, 0.209)
Ga (0.855, 0.486, 0.709)
C (0.454, 0.052, 0.295)
C (0.454, 0.448, 0.795)
C (0.546, 0.552, 0.205)
C (0.546, 0.948, 0.705)
N (0.004, 0.504, 0.257)
N (0.004, 0.996, 0.757)
N (0.218, 0.655, 0.141)
N (0.218, 0.845, 0.641)
N (0.225, 0.143, 0.958)
N (0.225, 0.357, 0.458)
N (0.379, 0.003, 0.358)
N (0.379, 0.497, 0.858)
N (0.476, 0.606, 0.280)
N (0.476, 0.894, 0.780)
N (0.524, 0.106, 0.220)
N (0.524, 0.394, 0.720)
N (0.621, 0.503, 0.142)
N (0.621, 0.997, 0.642)
N (0.775, 0.643, 0.542)
N (0.775, 0.857, 0.042)
N (0.782, 0.155, 0.359)
N (0.782, 0.345, 0.859)
N (0.996, 0.004, 0.243)
N (0.996, 0.496, 0.743)

Main lines, low angle first (2θ = 5–70°):
2θ = 6.57°, intensity 43; 2θ = 28.40°, intensity 37; 2θ = 29.01°, intensity 56; 2θ = 30.64°, intensity 27; 2θ = 31.15°, intensity 78; 2θ = 33.31°, intensity 24; 2θ = 33.43°, intensity 28; 2θ = 34.02°, intensity 100; 2θ = 38.35°, intensity 16; 2θ = 40.22°, intensity 28